1.
Computed XRD peak list of NbTe2Br6 for Cu Kα (weighted mean of Kα1 and Kα2), from a structure optimized by DFT (PBE).
Neutral-atom scattering factors, no anomalous dispersion.

Principal peaks in the range 5 to 70 degrees two-theta, low angle first:
d 6.540, 13.54 deg, I = 38
d 6.402, 13.83 deg, I = 53
d 6.270, 14.12 deg, I = 100
d 3.279, 27.20 deg, I = 43
d 3.230, 27.62 deg, I = 41
d 2.918, 30.64 deg, I = 43

Crystal structure
Cell lengths 7.4290, 7.8595, 8.0128 Å; angles 68.63, 63.44, 89.83 degrees
Space group P1 (No. 1)
Asymmetric unit:
Nb 0.0000 0.0000 0.0000 x1
Te 0.3272 0.6387 0.5269 x1
Te 0.5106 0.5404 0.7467 x1
Br 0.0537 0.1775 0.1818 x1
Br 0.3673 0.0626 0.7536 x1
Br 0.5986 0.9977 0.2207 x1
Br 0.8871 0.8720 0.8098 x1
Br 0.9749 0.3395 0.7454 x1
Br 0.9853 0.6921 0.2441 x1

2.
Computed XRD peak list of Pm2HgPdO5 for Cu Kα (weighted mean of Kα1 and Kα2), from a structure optimized by DFT (PBE).
Neutral-atom scattering factors, no anomalous dispersion.

Principal peaks in the range 5 to 70 degrees two-theta, low angle first:
d 2.933, 30.47 deg, I = 100
d 2.863, 31.24 deg, I = 34
d 2.695, 33.24 deg, I = 34
d 2.415, 37.23 deg, I = 25
d 2.089, 43.31 deg, I = 25
d 1.846, 49.37 deg, I = 22

Crystal structure
Cell lengths 6.8306, 6.8306, 5.7269 Å; angles 90.00, 90.00, 90.00 degrees
Space group P4/mbm (No. 127)
Asymmetric unit:
Pm 0.1733 0.3267 0.0000 x4
Hg 0.0000 0.0000 0.5000 x2
Pd 0.0000 0.5000 0.5000 x2
O 0.0000 0.0000 0.0000 x2
O 0.1378 0.6378 0.2423 x8

3.
Computed XRD peak list of Cs2NbVCl6 for Cu Kα (weighted mean of Kα1 and Kα2), from a structure optimized by DFT (PBE).
Neutral-atom scattering factors, no anomalous dispersion.

Principal peaks in the range 5 to 70 degrees two-theta, low angle first:
d 3.627, 24.54 deg, I = 100
d 2.961, 30.18 deg, I = 39
d 2.565, 34.99 deg, I = 68
d 2.094, 43.20 deg, I = 44
d 1.814, 50.31 deg, I = 45
d 1.371, 68.44 deg, I = 23

Crystal structure
Cell lengths 10.2589, 10.2589, 10.2589 Å; angles 90.00, 90.00, 90.00 degrees
Space group Fm-3m (No. 225)
Asymmetric unit:
Cs 0.2500 0.2500 0.2500 x8
Nb 0.0000 0.0000 0.0000 x4
V 0.0000 0.0000 0.5000 x4
Cl 0.0000 0.0000 0.2547 x24